Diffraction record for Sb2TeSe2. The powder diffraction line list is computed, not measured: it uses a crystal structure in Alexandria, relaxed with PBE and Cu Kα (λ = 1.5418 Å).
Kinematic intensities with the Lorentz-polarization factor, no thermal factor.

Atomic structure:
Cell lengths 4.1551, 4.1551, 30.5520 Å; angles 90.00, 90.00, 120.00 degrees
Space group R3m (No. 160, hexagonal axes)
Unique sites:
Sb 0.0000 0.0000 0.0000 [3 per cell]
Sb 0.0000 0.0000 0.2126 [3 per cell]
Te 0.0000 0.0000 0.8209 [3 per cell]
Se 0.0000 0.0000 0.3830 [3 per cell]
Se 0.0000 0.0000 0.6068 [3 per cell]

The 6 most intense peaks (5 to 70 degrees two-theta), sorted by position:
2theta, I/Imax
28.8, 100
34.2, 13
38.7, 28
43.6, 37
46.1, 15
53.1, 18